Starting from a PBE-relaxed structure, the XRD peak list of K2Tl9Hg6 was calculated for a wavelength of 1.5418 Å.
Neutral-atom scattering factors, no anomalous dispersion.

Crystal structure
```
data_K2Tl9Hg6
_cell_length_a 6.6653
_cell_length_b 6.6653
_cell_length_c 15.8688
_cell_angle_alpha 90.00
_cell_angle_beta 90.00
_cell_angle_gamma 120.00
_symmetry_space_group_name_H-M 'P 6/m m m'
_symmetry_Int_Tables_number 191
_symmetry_space_group_name_Hall '-P 6 2'
loop_
_atom_site_label
_atom_site_type_symbol
_atom_site_fract_x
_atom_site_fract_y
_atom_site_fract_z
K1 K 0.0000 0.0000 0.1603
Tl1 Tl 0.0000 0.5000 0.0000
Tl2 Tl 0.0000 0.5000 0.3330
Hg1 Hg 0.3333 0.6667 0.1652
Hg2 Hg 0.3333 0.6667 0.5000
```

Largest 10 diffraction maxima, low angle first, 15° ≤ 2θ ≤ 90°:
h k l	2θ/deg	d_spacing	intensity
1 0 0	15.35	5.772	86
2 0 0	30.98	2.886	22
1 1 3	31.73	2.820	88
0 0 6	33.89	2.645	33
2 0 3	35.43	2.534	100
1 0 6	37.40	2.404	20
3 0 3	50.47	1.808	24
2 2 0	55.12	1.666	25
2 0 9	61.64	1.505	21
2 2 6	66.30	1.410	29

---

Starting from a PBE-relaxed structure, the XRD peak list of Na3Cd2Pb8 was calculated for a wavelength of 1.5418 Å.
Neutral-atom scattering factors, no anomalous dispersion.

Crystal structure
```
data_Na3Cd2Pb8
_cell_length_a 7.584
_cell_length_b 18.641
_cell_length_c 5.679
_cell_angle_alpha 90.00
_cell_angle_beta 90.00
_cell_angle_gamma 90.00
_symmetry_space_group_name_H-M 'C m m m'
_symmetry_Int_Tables_number 65
_symmetry_space_group_name_Hall '-C 2 2'
loop_
_atom_site_label
_atom_site_type_symbol
_atom_site_fract_x
_atom_site_fract_y
_atom_site_fract_z
Na1 Na 0.000 0.000 0.000
Na2 Na 0.224 0.500 0.500
Cd1 Cd 0.000 0.238 0.000
Pb1 Pb 0.000 0.151 0.500
Pb2 Pb 0.000 0.330 0.500
Pb3 Pb 0.215 0.383 0.000
```

Largest 10 diffraction maxima, low angle first, 15° ≤ 2θ ≤ 90°:
h k l	2θ/deg	d_spacing	intensity
0 4 0	19.04	4.660	45
2 2 0	25.36	3.512	21
2 0 1	28.30	3.153	56
0 0 2	31.51	2.839	52
0 6 1	32.86	2.726	36
2 4 1	34.34	2.612	100
0 4 2	37.08	2.425	18
2 2 2	40.82	2.211	25
0 8 1	41.91	2.156	15
2 4 3	57.94	1.592	23

---

Starting from a PBE-relaxed structure, the XRD peak list of Er7Al5Ag was calculated for a wavelength of 1.5418 Å.
Neutral-atom scattering factors, no anomalous dispersion.

Crystal structure
```
data_Er7Al5Ag
_cell_length_a 6.202
_cell_length_b 9.761
_cell_length_c 10.489
_cell_angle_alpha 90.00
_cell_angle_beta 90.00
_cell_angle_gamma 90.00
_symmetry_space_group_name_H-M 'I m m 2'
_symmetry_Int_Tables_number 44
loop_
_symmetry_equiv_pos_as_xyz
'x,y,z'
'-x,-y,z'
'-x,y,z'
'x,-y,z'
'x+1/2,y+1/2,z+1/2'
'-x+1/2,-y+1/2,z+1/2'
'-x+1/2,y+1/2,z+1/2'
'x+1/2,-y+1/2,z+1/2'
loop_
_atom_site_label
_atom_site_type_symbol
_atom_site_fract_x
_atom_site_fract_y
_atom_site_fract_z
Er1 Er 0.000 0.000 0.000
Er2 Er 0.000 0.000 0.372
Er3 Er 0.000 0.309 0.580
Er4 Er 0.000 0.333 0.073
Er5 Er 0.000 0.500 0.327
Al1 Al 0.000 0.500 0.821
Al2 Al 0.222 0.244 0.831
Ag1 Ag 0.000 0.000 0.687
```

Largest 10 diffraction maxima, low angle first, 15° ≤ 2θ ≤ 90°:
h k l	2θ/deg	d_spacing	intensity
0 0 2	16.91	5.245	27
0 2 2	24.92	3.573	50
2 0 0	28.79	3.101	91
1 0 3	29.32	3.046	39
1 3 0	31.04	2.881	78
0 0 4	34.21	2.621	38
1 2 3	34.72	2.584	51
1 3 2	35.55	2.525	92
2 2 2	38.42	2.343	100
3 3 2	55.48	1.656	32

---

Starting from a PBE-relaxed structure, the XRD peak list of SmP2Pd6 was calculated for a wavelength of 1.5418 Å.
Neutral-atom scattering factors, no anomalous dispersion.

Crystal structure
```
data_SmP2Pd6
_cell_length_a 4.101
_cell_length_b 4.101
_cell_length_c 8.660
_cell_angle_alpha 90.00
_cell_angle_beta 90.00
_cell_angle_gamma 90.00
_symmetry_space_group_name_H-M 'P 4/m m m'
_symmetry_Int_Tables_number 123
_symmetry_space_group_name_Hall '-P 4 2'
loop_
_atom_site_label
_atom_site_type_symbol
_atom_site_fract_x
_atom_site_fract_y
_atom_site_fract_z
Sm1 Sm 0.000 0.000 0.000
P1 P 0.500 0.500 0.129
Pd1 Pd 0.000 0.000 0.500
Pd2 Pd 0.000 0.500 0.272
Pd3 Pd 0.500 0.500 0.500
```

Largest 10 diffraction maxima, low angle first, 15° ≤ 2θ ≤ 90°:
h k l	2θ/deg	d_spacing	intensity
1 0 2	30.01	2.978	7
1 1 2	37.32	2.409	100
0 0 4	41.72	2.165	14
2 0 0	44.17	2.051	37
1 1 3	44.27	2.046	8
2 0 4	62.38	1.489	17
2 2 0	64.24	1.450	12
1 1 6	73.25	1.292	10
3 1 2	76.71	1.242	24
2 2 4	79.57	1.205	8

---

Starting from a PBE-relaxed structure, the XRD peak list of ZnSb2P2O9 was calculated for a wavelength of 1.5418 Å.
Neutral-atom scattering factors, no anomalous dispersion.

Crystal structure
```
data_ZnSb2P2O9
_cell_length_a 6.353
_cell_length_b 7.373
_cell_length_c 18.187
_cell_angle_alpha 90.00
_cell_angle_beta 90.00
_cell_angle_gamma 90.00
_symmetry_space_group_name_H-M 'P 21 21 21'
_symmetry_Int_Tables_number 19
loop_
_symmetry_equiv_pos_as_xyz
'x,y,z'
'-x+1/2,-y,z+1/2'
'x+1/2,-y+1/2,-z'
'-x,y+1/2,-z+1/2'
loop_
_atom_site_label
_atom_site_type_symbol
_atom_site_fract_x
_atom_site_fract_y
_atom_site_fract_z
Zn1 Zn 0.023 0.065 0.015
Sb1 Sb 0.037 0.693 0.181
Sb2 Sb 0.099 0.504 0.846
P1 P 0.012 0.485 0.017
P2 P 0.053 0.967 0.836
O1 O 0.013 0.265 0.646
O2 O 0.016 0.651 0.072
O3 O 0.020 0.308 0.060
O4 O 0.048 0.078 0.906
O5 O 0.098 0.547 0.722
O6 O 0.100 0.431 0.332
O7 O 0.177 0.007 0.536
O8 O 0.212 0.508 0.965
O9 O 0.222 0.035 0.299
```

Largest 10 diffraction maxima, low angle first, 15° ≤ 2θ ≤ 90°:
h k l	2θ/deg	d_spacing	intensity
0 1 3	18.95	4.683	100
1 1 2	20.88	4.254	29
1 1 3	23.60	3.769	39
0 2 0	24.13	3.688	39
1 1 4	26.98	3.305	42
2 0 0	28.09	3.176	58
1 2 1	28.42	3.141	78
0 0 6	29.47	3.031	56
2 1 3	34.11	2.629	33
1 2 5	37.51	2.397	27

---

Starting from a PBE-relaxed structure, the XRD peak list of PmAl2Te4 was calculated for a wavelength of 1.5418 Å.
Neutral-atom scattering factors, no anomalous dispersion.

Crystal structure
```
data_PmAl2Te4
_cell_length_a 8.272
_cell_length_b 8.272
_cell_length_c 6.868
_cell_angle_alpha 90.00
_cell_angle_beta 90.00
_cell_angle_gamma 90.00
_symmetry_space_group_name_H-M 'I 4/m'
_symmetry_Int_Tables_number 87
_symmetry_space_group_name_Hall '-I 4'
loop_
_atom_site_label
_atom_site_type_symbol
_atom_site_fract_x
_atom_site_fract_y
_atom_site_fract_z
Pm1 Pm 0.000 0.000 0.000
Al1 Al 0.000 0.500 0.250
Te1 Te 0.163 0.312 0.500
```

Largest 10 diffraction maxima, low angle first, 15° ≤ 2θ ≤ 90°:
h k l	2θ/deg	d_spacing	intensity
1 0 1	16.78	5.284	12
0 0 2	25.95	3.434	30
2 1 1	27.38	3.257	100
2 2 0	30.57	2.925	15
1 3 0	34.28	2.616	17
1 3 2	43.49	2.081	32
2 1 3	46.65	1.947	28
1 4 1	47.19	1.926	23
1 4 3	61.45	1.509	10
3 5 2	72.02	1.311	11